Record 1
For Sr2Cu12Rh5, a crystal structure in Alexandria, relaxed with GGA-PBE gives the simulated powder diffraction line list in this record (Cu Kα X-rays).

Structural model:
Lattice parameters (Å, degrees): 8.8245 8.8245 12.9720 90.00 90.00 120.00
Space group R-3m (No. 166, hexagonal axes)
Unique sites:
Sr  0.0000  0.0000  0.1600 x6
Cu  0.0000  0.2898  0.5000 x18
Cu  0.0012  0.5006  0.3425 x18
Rh  0.0000  0.0000  0.4020 x6
Rh  0.0000  0.5000  0.0000 x9

Main lines, in order of falling intensity (2θ from 10° to 90°):
d = 2.195 Å, 2θ = 41.1°, intensity 100.0
d = 2.206 Å, 2θ = 40.9°, intensity 97.6
d = 1.965 Å, 2θ = 46.2°, intensity 90.2
d = 6.585 Å, 2θ = 13.4°, intensity 56.7
d = 2.162 Å, 2θ = 41.8°, intensity 41.9
d = 2.547 Å, 2θ = 35.2°, intensity 36.5
d = 2.146 Å, 2θ = 42.1°, intensity 34.5
d = 1.543 Å, 2θ = 59.9°, intensity 32.7
d = 1.274 Å, 2θ = 74.5°, intensity 30.6
d = 1.941 Å, 2θ = 46.8°, intensity 27.2

***

Record 2
For Y2Cu2N, a crystal structure in Alexandria, relaxed with GGA-PBE gives the simulated powder diffraction line list in this record (Cu Kα X-rays).

Structural model:
Lattice parameters (Å, degrees): 6.5625 6.5625 4.6051 90.00 90.00 90.00
Space group P4/mbm (No. 127)
Unique sites:
Y  0.1900  0.3100  0.0000 x4
Cu  0.1233  0.6233  0.5000 x4
N  0.0000  0.0000  0.0000 x2

Main lines, in order of falling intensity (2θ from 10° to 90°):
d = 2.475 Å, 2θ = 36.3°, intensity 100.0
d = 2.303 Å, 2θ = 39.1°, intensity 24.8
d = 2.074 Å, 2θ = 43.6°, intensity 20.5
d = 2.672 Å, 2θ = 33.5°, intensity 20.2
d = 4.640 Å, 2θ = 19.1°, intensity 18.1
d = 3.281 Å, 2θ = 27.2°, intensity 15.9
d = 1.360 Å, 2θ = 69.0°, intensity 13.9
d = 1.504 Å, 2θ = 61.7°, intensity 12.2
d = 1.546 Å, 2θ = 59.8°, intensity 11.2
d = 1.820 Å, 2θ = 50.1°, intensity 10.0